The following is a computed powder diffractogram of RbAgF3. It was derived from a structure optimized by DFT (PBE), using Cu Kα.

Principal peaks in the range 10° ≤ 2θ ≤ 90°, in order of rising 2θ:
hkl 0 2 0, 26.2 deg, d = 3.398 Å, I 34; hkl 1 1 1, 29.7 deg, d = 3.010 Å, I 100; hkl 2 0 0, 34.1 deg, d = 2.628 Å, I 17; hkl 0 0 2, 41.4 deg, d = 2.182 Å, I 20; hkl 2 2 0, 43.5 deg, d = 2.079 Å, I 36; hkl 1 3 1, 48.5 deg, d = 1.878 Å, I 27; hkl 0 2 2, 49.7 deg, d = 1.836 Å, I 12; hkl 0 4 0, 54.0 deg, d = 1.699 Å, I 9; hkl 2 0 2, 54.7 deg, d = 1.679 Å, I 9; hkl 3 1 1, 58.4 deg, d = 1.581 Å, I 15; hkl 2 2 2, 61.6 deg, d = 1.505 Å, I 23; hkl 1 1 3, 68.3 deg, d = 1.373 Å, I 9

```
data_RbAgF3
_space_group_name_H-M_alt 'C m m m'
_space_group_IT_number 65
_space_group_name_Hall '-C 2 2'
_cell_length_a 5.255
_cell_length_b 6.795
_cell_length_c 4.364
_cell_angle_alpha 90.00
_cell_angle_beta 90.00
_cell_angle_gamma 90.00
loop_
_atom_site_label
_atom_site_type_symbol
_atom_site_fract_x
_atom_site_fract_y
_atom_site_fract_z
Rb1 Rb 0.000 0.000 0.000
Ag1 Ag 0.000 0.500 0.500
F1 F 0.000 0.500 0.000
F2 F 0.250 0.250 0.500
```